Theoretical powder X-ray diffraction pattern of Pr6Co for Cu Kα, 1.54184 Å, from a PBE-relaxed structure.
Peak positions follow from Bragg's law for the DFT cell and can differ from measured ones.

Structure:
Cell: 12.460 11.447 6.549 Å, 90.00 90.00 90.00°
Atoms (fractional coordinates):
Pr: 0.003 0.250 0.226
Pr: 0.006 0.071 0.749
Pr: 0.006 0.429 0.749
Pr: 0.244 0.250 0.589
Pr: 0.249 0.085 0.084
Pr: 0.249 0.415 0.084
Pr: 0.251 0.585 0.584
Pr: 0.251 0.915 0.584
Pr: 0.256 0.750 0.089
Pr: 0.494 0.571 0.249
Pr: 0.494 0.929 0.249
Pr: 0.497 0.750 0.726
Pr: 0.503 0.250 0.274
Pr: 0.506 0.071 0.751
Pr: 0.506 0.429 0.751
Pr: 0.744 0.250 0.911
Pr: 0.749 0.085 0.416
Pr: 0.749 0.415 0.416
Pr: 0.751 0.585 0.916
Pr: 0.751 0.915 0.916
Pr: 0.756 0.750 0.411
Pr: 0.994 0.571 0.251
Pr: 0.994 0.929 0.251
Pr: 0.997 0.750 0.774
Co: 0.114 0.750 0.413
Co: 0.386 0.250 0.913
Co: 0.614 0.750 0.087
Co: 0.886 0.250 0.587

Peak list (10 most intense, 2θ = 10–90°, low angle first)
27.99°, I 35
28.18°, I 18
28.66°, I 47
30.68°, I 100
30.85°, I 47
34.74°, I 31
34.89°, I 16
48.02°, I 29
52.05°, I 23
56.88°, I 26

Theoretical powder X-ray diffraction pattern of Pr5Co4 for Cu Kα, 1.54184 Å, from a PBE-relaxed structure.
Peak positions follow from Bragg's law for the DFT cell and can differ from measured ones.

Structure:
Cell: 6.202 6.202 9.857 Å, 109.23 109.23 37.19°
Atoms (fractional coordinates):
Pr: 0.000 0.000 0.000
Pr: 0.108 0.108 0.397
Pr: 0.228 0.228 0.820
Pr: 0.772 0.772 0.180
Pr: 0.892 0.892 0.603
Co: 0.414 0.414 0.392
Co: 0.459 0.459 0.182
Co: 0.541 0.541 0.818
Co: 0.586 0.586 0.608

Peak list (10 most intense, 2θ = 10–90°, low angle first)
27.84°, I 44
29.22°, I 38
30.46°, I 39
32.18°, I 100
32.61°, I 86
35.58°, I 45
37.11°, I 38
38.40°, I 38
45.88°, I 35
59.83°, I 25

Theoretical powder X-ray diffraction pattern of PrPuCo for Cu Kα, 1.54184 Å, from a PBE-relaxed structure.
Peak positions follow from Bragg's law for the DFT cell and can differ from measured ones.

Structure:
Cell: 6.205 6.205 6.205 Å, 147.23 147.23 47.02°
Atoms (fractional coordinates):
Pr: 0.000 0.000 0.000
Pu: 0.280 0.280 0.000
Co: 0.691 0.691 0.000

Peak list (10 most intense, 2θ = 10–90°, low angle first)
15.57°, I 21
26.64°, I 52
31.44°, I 27
34.87°, I 100
36.29°, I 65
48.76°, I 33
52.26°, I 23
63.04°, I 24
64.38°, I 34
86.25°, I 20

Theoretical powder X-ray diffraction pattern of PrPuCo for Cu Kα, 1.54184 Å, from a PBE-relaxed structure.
Peak positions follow from Bragg's law for the DFT cell and can differ from measured ones.

Structure:
Cell: 7.769 7.769 6.326 Å, 90.00 90.00 131.79°
Atoms (fractional coordinates):
Pr: 0.192 0.808 0.998
Pr: 0.308 0.692 0.498
Pr: 0.692 0.308 0.502
Pr: 0.808 0.192 0.002
Pu: 0.249 0.251 0.750
Pu: 0.251 0.249 0.250
Pu: 0.749 0.751 0.750
Pu: 0.751 0.749 0.250
Co: 0.108 0.892 0.501
Co: 0.392 0.608 0.001
Co: 0.608 0.392 0.999
Co: 0.892 0.108 0.499

Peak list (10 most intense, 2θ = 10–90°, low angle first)
12.48°, I 37
25.11°, I 14
30.91°, I 100
37.53°, I 22
38.09°, I 51
40.26°, I 45
48.03°, I 21
56.60°, I 14
59.77°, I 18
67.34°, I 13

Theoretical powder X-ray diffraction pattern of PrPuCo10 for Cu Kα, 1.54184 Å, from a PBE-relaxed structure.
Peak positions follow from Bragg's law for the DFT cell and can differ from measured ones.

Structure:
Cell: 3.979 4.914 8.621 Å, 90.00 90.00 90.00°
Atoms (fractional coordinates):
Pr: 0.000 0.000 0.000
Pu: 0.000 0.500 0.500
Co: 0.000 0.000 0.341
Co: 0.000 0.000 0.659
Co: 0.000 0.500 0.191
Co: 0.000 0.500 0.809
Co: 0.500 0.000 0.500
Co: 0.500 0.250 0.252
Co: 0.500 0.250 0.748
Co: 0.500 0.500 0.000
Co: 0.500 0.750 0.252
Co: 0.500 0.750 0.748

Peak list (10 most intense, 2θ = 10–90°, low angle first)
30.58°, I 30
30.71°, I 70
36.21°, I 36
41.92°, I 23
42.34°, I 36
42.97°, I 100
43.28°, I 51
45.59°, I 38
63.97°, I 20
70.24°, I 22

Theoretical powder X-ray diffraction pattern of Pr2Co2Ru for Cu Kα, 1.54184 Å, from a PBE-relaxed structure.
Peak positions follow from Bragg's law for the DFT cell and can differ from measured ones.

Structure:
Cell: 5.386 5.386 7.964 Å, 100.55 100.55 62.64°
Atoms (fractional coordinates):
Pr: 0.045 0.263 0.155
Pr: 0.263 0.045 0.655
Pr: 0.737 0.955 0.345
Pr: 0.955 0.737 0.845
Co: 0.275 0.501 0.499
Co: 0.499 0.725 0.001
Co: 0.501 0.275 0.999
Co: 0.725 0.499 0.501
Ru: 0.382 0.618 0.250
Ru: 0.618 0.382 0.750

Peak list (10 most intense, 2θ = 10–90°, low angle first)
26.91°, I 22
31.33°, I 32
33.55°, I 27
34.00°, I 100
37.36°, I 29
37.58°, I 37
37.99°, I 29
38.33°, I 26
40.95°, I 29
48.53°, I 28

Theoretical powder X-ray diffraction pattern of PrCo4Si for Cu Kα, 1.54184 Å, from a PBE-relaxed structure.
Peak positions follow from Bragg's law for the DFT cell and can differ from measured ones.

Structure:
Cell: 4.956 4.956 3.925 Å, 90.00 90.00 117.30°
Atoms (fractional coordinates):
Pr: 0.000 0.000 0.000
Co: 0.000 0.500 0.500
Co: 0.344 0.656 0.000
Co: 0.500 0.000 0.500
Co: 0.656 0.344 0.000
Si: 0.500 0.500 0.500

Peak list (10 most intense, 2θ = 10–90°, low angle first)
30.51°, I 32
31.08°, I 53
36.29°, I 54
40.99°, I 42
41.92°, I 84
43.21°, I 100
46.26°, I 42
60.18°, I 23
63.50°, I 22
68.21°, I 24

Theoretical powder X-ray diffraction pattern of PrSm2Co2 for Cu Kα, 1.54184 Å, from a PBE-relaxed structure.
Peak positions follow from Bragg's law for the DFT cell and can differ from measured ones.

Structure:
Cell: 6.112 6.112 5.676 Å, 104.05 104.05 36.31°
Atoms (fractional coordinates):
Pr: 0.000 0.000 0.000
Sm: 0.352 0.352 0.416
Sm: 0.648 0.648 0.584
Co: 0.275 0.275 0.898
Co: 0.725 0.725 0.102

Peak list (10 most intense, 2θ = 10–90°, low angle first)
25.43°, I 26
28.47°, I 72
30.76°, I 30
31.88°, I 57
32.45°, I 30
32.63°, I 25
33.57°, I 100
39.61°, I 47
43.02°, I 31
47.76°, I 26

Theoretical powder X-ray diffraction pattern of TbPr2Co for Cu Kα, 1.54184 Å, from a PBE-relaxed structure.
Peak positions follow from Bragg's law for the DFT cell and can differ from measured ones.

Structure:
Cell: 7.106 9.986 6.328 Å, 90.00 90.00 90.00°
Atoms (fractional coordinates):
Tb: 0.045 0.250 0.157
Tb: 0.455 0.750 0.657
Tb: 0.545 0.250 0.343
Tb: 0.955 0.750 0.843
Pr: 0.174 0.071 0.676
Pr: 0.174 0.429 0.676
Pr: 0.326 0.571 0.176
Pr: 0.326 0.929 0.176
Pr: 0.674 0.071 0.824
Pr: 0.674 0.429 0.824
Pr: 0.826 0.571 0.324
Pr: 0.826 0.929 0.324
Co: 0.118 0.750 0.451
Co: 0.382 0.250 0.951
Co: 0.618 0.750 0.049
Co: 0.882 0.250 0.549

Peak list (10 most intense, 2θ = 10–90°, low angle first)
30.20°, I 47
30.34°, I 100
30.91°, I 79
32.24°, I 59
32.91°, I 38
34.06°, I 55
48.57°, I 28
52.98°, I 22
53.58°, I 21
55.79°, I 24

Theoretical powder X-ray diffraction pattern of TbPrCo10 for Cu Kα, 1.54184 Å, from a PBE-relaxed structure.
Peak positions follow from Bragg's law for the DFT cell and can differ from measured ones.

Structure:
Cell: 3.945 4.972 8.652 Å, 90.00 90.00 90.00°
Atoms (fractional coordinates):
Tb: 0.000 0.000 0.000
Pr: 0.000 0.500 0.500
Co: 0.000 0.000 0.325
Co: 0.000 0.000 0.675
Co: 0.000 0.500 0.162
Co: 0.000 0.500 0.838
Co: 0.500 0.000 0.500
Co: 0.500 0.247 0.245
Co: 0.500 0.247 0.755
Co: 0.500 0.500 0.000
Co: 0.500 0.753 0.245
Co: 0.500 0.753 0.755

Peak list (10 most intense, 2θ = 10–90°, low angle first)
30.71°, I 75
36.00°, I 33
36.13°, I 16
41.76°, I 19
41.92°, I 35
42.89°, I 100
43.01°, I 50
46.02°, I 38
63.99°, I 19
69.64°, I 22

Theoretical powder X-ray diffraction pattern of Pr6Tl2Co for Cu Kα, 1.54184 Å, from a PBE-relaxed structure.
Peak positions follow from Bragg's law for the DFT cell and can differ from measured ones.

Structure:
Cell: 7.409 7.385 12.670 Å, 90.00 125.27 90.00°
Atoms (fractional coordinates):
Pr: 0.200 0.000 0.252
Pr: 0.200 0.500 0.752
Pr: 0.275 0.246 0.526
Pr: 0.275 0.254 0.026
Pr: 0.280 0.749 0.026
Pr: 0.280 0.751 0.526
Pr: 0.720 0.249 0.474
Pr: 0.720 0.251 0.974
Pr: 0.725 0.746 0.974
Pr: 0.725 0.754 0.474
Pr: 0.800 0.000 0.748
Pr: 0.800 0.500 0.248
Tl: 0.256 0.502 0.253
Tl: 0.256 0.998 0.753
Tl: 0.744 0.002 0.247
Tl: 0.744 0.498 0.747
Co: 0.000 0.000 0.000
Co: 0.000 0.500 0.500

Peak list (10 most intense, 2θ = 10–90°, low angle first)
29.53°, I 32
29.75°, I 100
34.29°, I 56
34.69°, I 25
49.39°, I 27
49.74°, I 16
58.40°, I 8
58.58°, I 9
58.71°, I 16
61.74°, I 9

Theoretical powder X-ray diffraction pattern of Pr12Tl5Co2 for Cu Kα, 1.54184 Å, from a PBE-relaxed structure.
Peak positions follow from Bragg's law for the DFT cell and can differ from measured ones.

Structure:
Cell: 9.575 9.575 10.180 Å, 105.47 105.47 48.81°
Atoms (fractional coordinates):
Pr: 0.001 0.001 0.180
Pr: 0.091 0.602 0.422
Pr: 0.113 0.576 0.922
Pr: 0.398 0.909 0.578
Pr: 0.424 0.887 0.078
Pr: 0.498 0.498 0.229
Pr: 0.502 0.502 0.771
Pr: 0.576 0.113 0.922
Pr: 0.602 0.091 0.422
Pr: 0.887 0.424 0.078
Pr: 0.909 0.398 0.578
Pr: 0.999 0.999 0.820
Tl: 0.000 0.000 0.500
Tl: 0.303 0.303 0.163
Tl: 0.308 0.308 0.640
Tl: 0.692 0.692 0.360
Tl: 0.697 0.697 0.837
Co: 0.293 0.707 0.000
Co: 0.707 0.293 0.000

Peak list (10 most intense, 2θ = 10–90°, low angle first)
19.52°, I 61
20.75°, I 63
29.08°, I 100
31.17°, I 61
32.21°, I 57
32.89°, I 81
35.27°, I 50
39.53°, I 47
45.87°, I 31
48.51°, I 26